Entry 1:
Structure and simulated powder diffractogram of Rb3Cd4Pt (a DFT-relaxed cell (PBE, Alexandria); CuKα).

Principal peaks in the range 10 to 90 degrees two-theta, low angle first:
2θ (°)	Rel. int.	index
14.17	85	0 1 1
15.76	43	1 0 1
27.14	44	1 0 3
28.57	47	0 2 2
28.73	100	1 2 1
31.21	70	0 0 4
31.84	42	2 0 2
36.43	82	1 2 3
40.18	41	2 2 2
41.23	35	0 1 5

Structure:
Unit cell a=6.452 b=7.457 c=11.453 alpha=90.00 beta=90.00 gamma=90.00
Space group Imm2 (No. 44)
Inequivalent atoms, fractional coordinates:
Rb1 0.000 0.000 0.000
Rb2 0.000 0.238 0.353
Cd1 0.000 0.300 0.693
Cd2 0.237 0.500 0.096
Pt1 0.000 0.500 0.895

Entry 2:
Structure and simulated powder diffractogram of Rb3Cd9Pt2 (a DFT-relaxed cell (PBE, Alexandria); CuKα).

Principal peaks in the range 10 to 90 degrees two-theta, low angle first:
2θ (°)	Rel. int.	index
17.22	52	0 1 1
24.45	20	1 1 0
30.07	66	0 0 3
34.85	100	0 2 2
39.14	26	1 2 1
43.01	13	1 0 4
50.12	62	2 2 0
59.54	16	0 2 5
62.53	15	4 0 2
84.15	12	2 4 2

Structure:
Unit cell a=7.2747 b=7.2747 c=8.9313 alpha=90.00 beta=90.00 gamma=120.00
Space group P-3m1 (No. 164)
Inequivalent atoms, fractional coordinates:
Rb1 0.0000 0.0000 0.0000
Rb2 0.3333 0.6667 0.3310
Cd1 0.0000 0.5000 0.0000
Cd2 0.1492 0.2985 0.6446
Pt1 0.3333 0.6667 0.8085

Entry 3:
Structure and simulated powder diffractogram of CdPt2Rh (a DFT-relaxed cell (PBE, Alexandria); CuKα).

Principal peaks in the range 10 to 90 degrees two-theta, low angle first:
2θ (°)	Rel. int.	index
19.10	13	0 0 6
37.18	8	0 1 2
38.77	33	0 0 12
38.88	100	1 0 4
45.17	65	0 1 8
65.72	20	1 0 16
65.88	21	1 1 0
78.99	12	0 1 20
79.17	37	0 2 4
83.47	11	2 0 8

Structure:
Unit cell a=2.8355 b=2.8355 c=27.8744 alpha=90.00 beta=90.00 gamma=120.00
Space group R-3m (No. 166, hexagonal axes)
Inequivalent atoms, fractional coordinates:
Cd1 0.0000 0.0000 0.0000
Pt1 0.0000 0.0000 0.2473
Rh1 0.0000 0.0000 0.5000

Entry 4:
Structure and simulated powder diffractogram of Cd2Pt7Rh2 (a DFT-relaxed cell (PBE, Alexandria); CuKα).

Principal peaks in the range 10 to 90 degrees two-theta, low angle first:
2θ (°)	Rel. int.	index
19.97	22	0 0 1
37.71	34	1 3 1
38.07	62	3 1 0
38.47	58	2 0 -2
40.04	100	0 4 1
43.55	66	3 3 -1
44.24	21	3 1 -2
47.95	29	1 1 2
68.61	27	2 4 -3
79.94	18	4 0 2

Structure:
Unit cell a=7.888 b=10.446 c=4.818 alpha=90.00 beta=112.64 gamma=90.00
Space group Cm (No. 8)
Inequivalent atoms, fractional coordinates:
Cd1 0.000 0.228 0.000
Pt1 0.003 0.366 0.501
Pt2 0.186 0.130 0.612
Pt3 0.195 0.000 0.114
Pt4 0.318 0.371 0.388
Rh1 0.006 0.500 0.000
Rh2 0.302 0.500 0.882

Entry 5:
Structure and simulated powder diffractogram of CdPtS (a DFT-relaxed cell (PBE, Alexandria); CuKα).

Principal peaks in the range 10 to 90 degrees two-theta, low angle first:
2θ (°)	Rel. int.	index
15.31	86	0 1 1
29.13	25	1 1 1
34.45	35	0 1 3
34.83	34	0 3 1
34.96	100	1 2 1
42.81	42	1 1 3
47.18	29	1 2 3
47.38	25	1 3 2
50.04	32	0 4 2
73.83	28	2 4 2

Structure:
Unit cell a=3.613 b=8.129 c=8.245 alpha=90.00 beta=90.00 gamma=90.00
Space group P2_12_12_1 (No. 19)
Inequivalent atoms, fractional coordinates:
Cd1 0.250 0.246 0.219
Pt1 0.249 0.632 0.030
S1 0.249 0.062 0.960

Entry 6:
Structure and simulated powder diffractogram of Cd2PtSeS (a DFT-relaxed cell (PBE, Alexandria); CuKα).

Principal peaks in the range 10 to 90 degrees two-theta, low angle first:
2θ (°)	Rel. int.	index
16.43	41	1 0 0
20.58	54	0 0 1
26.45	70	1 0 1
33.22	100	2 0 0
39.40	42	2 0 1
41.87	26	0 0 2
42.95	40	2 1 1
47.68	36	2 2 0
54.46	48	2 0 2
65.30	27	2 2 2

Structure:
Unit cell a=5.394 b=5.394 c=4.316 alpha=90.00 beta=90.00 gamma=90.00
Space group P4/mmm (No. 123)
Inequivalent atoms, fractional coordinates:
Cd1 0.000 0.500 0.000
Pt1 0.000 0.000 0.000
Se1 0.500 0.500 0.500
S1 0.000 0.000 0.500

Entry 7:
Structure and simulated powder diffractogram of CdSb2Pt2 (a DFT-relaxed cell (PBE, Alexandria); CuKα).

Principal peaks in the range 10 to 90 degrees two-theta, low angle first:
2θ (°)	Rel. int.	index
20.25	33	1 0 1
25.87	30	1 1 0
31.48	60	1 1 2
32.41	90	1 0 3
36.90	100	2 0 0
44.61	55	1 1 4
48.98	17	1 0 5
49.92	54	2 1 3
53.18	35	2 2 0
71.87	27	3 1 4

Structure:
Unit cell a=4.871 b=4.871 c=10.062 alpha=90.00 beta=90.00 gamma=90.00
Space group I4/mmm (No. 139)
Inequivalent atoms, fractional coordinates:
Cd1 0.000 0.000 0.000
Sb1 0.000 0.500 0.250
Pt1 0.000 0.000 0.368

Entry 8:
Structure and simulated powder diffractogram of Sc5CdPt (a DFT-relaxed cell (PBE, Alexandria); CuKα).

Principal peaks in the range 10 to 90 degrees two-theta, low angle first:
2θ (°)	Rel. int.	index
16.86	45	1 1 0
21.50	100	1 1 -2
22.88	51	2 0 0
24.99	85	1 1 2
33.84	40	2 2 -1
34.09	63	2 2 0
34.95	39	0 2 3
35.44	80	2 0 -4
39.58	52	1 3 0
41.25	38	0 2 4

Structure:
Unit cell a=7.967 b=7.144 c=11.353 alpha=90.00 beta=102.68 gamma=90.00
Space group C2/c (No. 15)
Inequivalent atoms, fractional coordinates:
Sc1 0.000 0.017 0.250
Sc2 0.142 0.346 0.077
Sc3 0.241 0.324 0.377
Cd1 0.000 0.389 0.750
Pt1 0.000 0.000 0.000

Entry 9:
Structure and simulated powder diffractogram of Cd2PtSe (a DFT-relaxed cell (PBE, Alexandria); CuKα).

Principal peaks in the range 10 to 90 degrees two-theta, low angle first:
2θ (°)	Rel. int.	index
14.39	37	0 0 2
20.18	29	0 1 1
29.01	26	0 0 4
37.22	18	1 0 3
38.21	32	0 2 0
38.55	100	1 1 2
41.38	16	0 1 5
46.54	24	1 1 4
69.30	17	1 3 2
71.86	18	1 1 8

Structure:
Unit cell a=2.989 b=4.711 c=12.310 alpha=90.00 beta=90.00 gamma=90.00
Space group Imm2 (No. 44)
Inequivalent atoms, fractional coordinates:
Cd1 0.000 0.000 0.000
Cd2 0.000 0.500 0.179
Pt1 0.000 0.000 0.481
Se1 0.000 0.500 0.800

Entry 10:
Structure and simulated powder diffractogram of SmCdSi2Pt7 (a DFT-relaxed cell (PBE, Alexandria); CuKα).

Principal peaks in the range 10 to 90 degrees two-theta, low angle first:
2θ (°)	Rel. int.	index
22.10	10	1 0 1
23.68	17	1 0 3
26.58	15	1 0 5
33.46	12	1 1 4
36.16	100	1 1 6
39.66	10	1 1 8
43.82	19	1 1 10
44.65	36	2 0 0
64.98	12	2 2 0
76.69	25	3 1 6

Structure:
Unit cell a=4.059 b=4.059 c=29.764 alpha=90.00 beta=90.00 gamma=90.00
Space group I-4m2 (No. 119)
Inequivalent atoms, fractional coordinates:
Sm1 0.000 0.000 0.000
Cd1 0.000 0.500 0.250
Si1 0.000 0.000 0.382
Pt1 0.000 0.000 0.308
Pt2 0.000 0.000 0.500
Pt3 0.000 0.500 0.075
Pt4 0.000 0.500 0.575

Entry 11:
Structure and simulated powder diffractogram of Sm3Cd7Pt4 (a DFT-relaxed cell (PBE, Alexandria); CuKα).

Principal peaks in the range 10 to 90 degrees two-theta, low angle first:
2θ (°)	Rel. int.	index
29.01	28	2 0 2
32.20	65	1 1 2
32.72	56	3 1 -3
34.11	86	3 1 1
34.64	100	5 1 -2
36.44	33	5 1 -3
39.35	94	3 1 -4
39.53	26	0 0 4
40.18	33	1 1 3
43.64	79	0 2 0

Structure:
Unit cell a=16.594 b=4.148 c=11.015 alpha=90.00 beta=124.12 gamma=90.00
Space group C2/m (No. 12)
Inequivalent atoms, fractional coordinates:
Sm1 0.000 0.000 0.000
Sm2 0.203 0.500 0.720
Cd1 0.000 0.000 0.500
Cd2 0.019 0.500 0.315
Cd3 0.172 0.000 0.441
Cd4 0.174 0.500 0.006
Pt1 0.116 0.000 0.807
Pt2 0.150 0.500 0.234

Entry 12:
Structure and simulated powder diffractogram of SmZn2CdPt2 (a DFT-relaxed cell (PBE, Alexandria); CuKα).

Principal peaks in the range 10 to 90 degrees two-theta, low angle first:
2θ (°)	Rel. int.	index
26.70	41	1 0 1
35.66	100	0 1 2
40.45	86	1 1 0
47.34	10	1 0 3
49.18	16	0 2 1
55.01	29	2 0 2
70.47	27	1 2 2
70.76	21	1 1 4
73.57	14	3 0 0
87.49	9	2 2 0

Structure:
Unit cell a=4.4598 b=4.4598 c=6.6389 alpha=90.00 beta=90.00 gamma=120.00
Space group P-3m1 (No. 164)
Inequivalent atoms, fractional coordinates:
Sm1 0.0000 0.0000 0.0000
Zn1 0.3333 0.6667 0.2964
Cd1 0.0000 0.0000 0.5000
Pt1 0.3333 0.6667 0.7252